# 1
This entry pairs a crystal structure of AlTl2ZnS4 with its simulated powder XRD pattern. Radiation: Cu Ka. Structure: DFT lattice parameters and positions (PBE).
Intensities are scaled so that the largest is 100.

Main lines, by angle (2θ from 10° to 80°):
d [Å], Rel. int., (hkl)
5.365, 38, 1 1 0
3.386, 34, 2 0 0
3.238, 100, 2 2 -1
2.863, 36, 1 1 1
2.689, 15, 1 3 -1
2.397, 13, 0 0 2
2.391, 13, 4 0 -2
1.925, 45, 2 2 -3
1.843, 27, 2 4 0
1.271, 11, 4 2 1

Crystal structure
```
data_AlTl2ZnS4
_chemical_formula_sum 'Al2 Tl4 Zn2 S8'
_space_group_name_H-M_alt 'C 1 2 1'
_space_group_IT_number 5
_space_group_name_Hall 'C 2y'
_cell_length_a 9.564
_cell_length_b 8.791
_cell_length_c 6.771
_cell_angle_alpha 90.00
_cell_angle_beta 134.92
_cell_angle_gamma 90.00
loop_
_atom_site_label
_atom_site_type_symbol
_atom_site_fract_x
_atom_site_fract_y
_atom_site_fract_z
_atom_site_occupancy
Al1 Al 0.000 0.000 0.000 1
Tl1 Tl 0.000 0.499 0.000 1
Tl2 Tl 0.000 0.749 0.500 1
Zn1 Zn 0.000 0.250 0.500 1
S1 S 0.166 0.132 0.932 1
S2 S 0.234 0.868 0.400 1
```

# 2
This entry pairs a crystal structure of Nd2Zn15Pt2 with its simulated powder XRD pattern. Radiation: Cu Ka. Structure: DFT lattice parameters and positions (PBE).
Intensities are scaled so that the largest is 100.

Main lines, by angle (2θ from 10° to 80°):
d [Å], Rel. int., (hkl)
6.750, 49, 1 0 1
4.516, 31, 1 1 0
2.607, 68, 3 0 0
2.540, 62, 0 2 4
2.258, 100, 2 2 0
2.250, 58, 0 3 3
2.214, 47, 2 1 4
2.206, 43, 2 0 5
2.014, 51, 2 2 3
1.290, 32, 0 3 9

Crystal structure
```
data_Nd2Zn15Pt2
_chemical_formula_sum 'Nd6 Zn45 Pt6'
_space_group_name_H-M_alt 'R -3 m'
_space_group_IT_number 166
_space_group_name_Hall '-R 3 2"'
_cell_length_a 9.0316
_cell_length_b 9.0316
_cell_length_c 13.3583
_cell_angle_alpha 90.00
_cell_angle_beta 90.00
_cell_angle_gamma 120.00
loop_
_atom_site_label
_atom_site_type_symbol
_atom_site_fract_x
_atom_site_fract_y
_atom_site_fract_z
_atom_site_occupancy
Nd1 Nd 0.0000 0.0000 0.1621 1
Zn1 Zn 0.0000 0.2837 0.5000 1
Zn2 Zn 0.0000 0.5000 0.0000 1
Zn3 Zn 0.0028 0.5014 0.6520 1
Pt1 Pt 0.0000 0.0000 0.3897 1
```